This entry pairs a crystal structure of Na2InSnHg5 with its calculated powder diffractogram. Radiation: λ = 1.5418 Å (Cu Kα). Structure: a DFT-relaxed cell (PBE, Alexandria).
No peak broadening, texture or thermal motion is included.

Structural model:
abc: 7.8930 7.8930 15.9455
angles: 90.00 90.00 90.00
Space group I4/mcm (No. 140)
Symmetry-distinct sites (fractional):
1 Na 0.1272 0.3728 0.0000 x8
2 In 0.0000 0.5000 0.2500 x4
3 Sn 0.0000 0.0000 0.2500 x4
4 Hg 0.0000 0.0000 0.0000 x4
5 Hg 0.2132 0.2868 0.3557 x16

Main lines, in order of falling intensity (2θ = 5–70°):
31.91 deg, rel. 100, (2 0 4)
32.07 deg, rel. 50, (2 2 0)
30.40 deg, rel. 25, (2 1 3)
57.07 deg, rel. 23, (4 2 4)
50.69 deg, rel. 16, (4 1 3)
45.99 deg, rel. 12, (4 0 0)